[1]
VB2: calculated powder diffraction line list (copper Kα), based on a cell relaxed with GGA-PBE.

Structural model:
a = 2.9982 Å, b = 2.9982 Å, c = 3.0298 Å
α = 90.00°, β = 90.00°, γ = 120.00°
Space group P6/mmm (No. 191)
One atom of each set of equivalent atoms:
V (0.0000, 0.0000, 0.0000)
B (0.3333, 0.6667, 0.5000)

Largest 5 diffraction maxima, by angle, 5° ≤ 2θ ≤ 70°:
d 3.030, intensity 21; d 2.597, intensity 64; d 1.972, intensity 100; d 1.515, intensity 8; d 1.499, intensity 23

=====

[2]
K2TaAgI6: calculated powder diffraction line list (copper Kα), based on a cell relaxed with GGA-PBE.

Structural model:
a = 11.7286 Å, b = 11.7286 Å, c = 11.7286 Å
α = 90.00°, β = 90.00°, γ = 90.00°
Space group Fm-3m (No. 225)
One atom of each set of equivalent atoms:
K (0.2500, 0.2500, 0.2500)
Ta (0.0000, 0.0000, 0.0000)
Ag (0.0000, 0.0000, 0.5000)
I (0.0000, 0.0000, 0.2425)

Largest 6 diffraction maxima, by angle, 5° ≤ 2θ ≤ 70°:
d 5.864, intensity 90; d 3.386, intensity 46; d 2.932, intensity 100; d 2.623, intensity 49; d 2.073, intensity 73; d 1.955, intensity 26

=====

[3]
AgBiSe2: calculated powder diffraction line list (copper Kα), based on a cell relaxed with GGA-PBE.

Structural model:
a = 4.2002 Å, b = 4.2002 Å, c = 19.8938 Å
α = 90.00°, β = 90.00°, γ = 120.00°
Space group R-3m (No. 166, hexagonal axes)
One atom of each set of equivalent atoms:
Ag (0.0000, 0.0000, 0.0000)
Bi (0.0000, 0.0000, 0.5000)
Se (0.0000, 0.0000, 0.2542)

Largest 6 diffraction maxima, by angle, 5° ≤ 2θ ≤ 70°:
d 3.416, intensity 16; d 2.936, intensity 100; d 2.100, intensity 39; d 2.053, intensity 36; d 1.708, intensity 20; d 1.468, intensity 12

=====

[4]
Te2Mo2WSe2S2: calculated powder diffraction line list (copper Kα), based on a cell relaxed with GGA-PBE.

Structural model:
a = 3.3493 Å, b = 3.3493 Å, c = 30.9527 Å
α = 90.00°, β = 90.00°, γ = 120.00°
Space group P3m1 (No. 156)
One atom of each set of equivalent atoms:
Te (0.0000, 0.0000, 0.0000)
Te (0.0000, 0.0000, 0.1224)
Mo (0.0000, 0.0000, 0.2925)
Mo (0.6667, 0.3333, 0.0612)
W (0.6667, 0.3333, 0.5239)
Se (0.0000, 0.0000, 0.4698)
Se (0.0000, 0.0000, 0.5779)
S (0.6667, 0.3333, 0.2436)
S (0.6667, 0.3333, 0.3415)

Largest 6 diffraction maxima, by angle, 5° ≤ 2θ ≤ 70°:
d 15.476, intensity 100; d 7.738, intensity 25; d 2.901, intensity 8; d 2.528, intensity 11; d 2.425, intensity 14; d 2.020, intensity 10

=====

[5]
Nb2Tl4Se11: calculated powder diffraction line list (copper Kα), based on a cell relaxed with GGA-PBE.

Structural model:
a = 8.1833 Å, b = 9.3555 Å, c = 14.0641 Å
α = 72.93°, β = 89.24°, γ = 85.67°
Space group P-1 (No. 2)
One atom of each set of equivalent atoms:
Nb (0.1217, 0.3669, 0.3039)
Nb (0.3376, 0.1075, 0.1884)
Tl (0.0524, 0.7609, 0.9820)
Tl (0.2122, 0.9754, 0.5714)
Tl (0.2417, 0.4169, 0.5818)
Tl (0.4906, 0.7198, 0.1150)
Se (0.0169, 0.7098, 0.5334)
Se (0.0302, 0.1317, 0.2495)
Se (0.0522, 0.6569, 0.2479)
Se (0.1200, 0.4931, 0.8147)
Se (0.2638, 0.3998, 0.1112)
Se (0.2732, 0.0363, 0.0399)
Se (0.3497, 0.8570, 0.3335)
Se (0.3911, 0.1824, 0.3719)
Se (0.3984, 0.0779, 0.7510)
Se (0.3976, 0.4463, 0.3516)
Se (0.4541, 0.6922, 0.8804)

Largest 6 diffraction maxima, by angle, 5° ≤ 2θ ≤ 70°:
d 4.661, intensity 40; d 3.896, intensity 44; d 3.118, intensity 88; d 3.081, intensity 28; d 2.998, intensity 100; d 2.904, intensity 47

=====

[6]
Te2Mo3WSe6: calculated powder diffraction line list (copper Kα), based on a cell relaxed with GGA-PBE.

Structural model:
a = 3.3810 Å, b = 3.3810 Å, c = 40.6481 Å
α = 90.00°, β = 90.00°, γ = 120.00°
Space group P3m1 (No. 156)
One atom of each set of equivalent atoms:
Te (0.0000, 0.0000, 0.0000)
Te (0.0000, 0.0000, 0.0931)
Mo (0.0000, 0.0000, 0.2360)
Mo (0.0000, 0.0000, 0.8576)
Mo (0.6667, 0.3333, 0.6703)
W (0.6667, 0.3333, 0.0466)
Se (0.0000, 0.0000, 0.6296)
Se (0.0000, 0.0000, 0.7110)
Se (0.6667, 0.3333, 0.1953)
Se (0.6667, 0.3333, 0.2767)
Se (0.6667, 0.3333, 0.8169)
Se (0.6667, 0.3333, 0.8983)

Largest 6 diffraction maxima, by angle, 5° ≤ 2θ ≤ 70°:
d 13.549, intensity 27; d 8.130, intensity 100; d 2.926, intensity 36; d 2.537, intensity 58; d 2.137, intensity 55; d 1.690, intensity 27

=====

[7]
Zn3PBr3: calculated powder diffraction line list (copper Kα), based on a cell relaxed with GGA-PBE.

Structural model:
a = 6.7068 Å, b = 4.0638 Å, c = 7.0728 Å
α = 90.00°, β = 91.05°, γ = 90.00°
Space group Pm (No. 6)
One atom of each set of equivalent atoms:
Zn (0.0000, 0.0000, 0.0000)
Zn (0.0227, 0.5000, 0.5777)
Zn (0.5527, 0.5000, 0.8539)
P (0.8964, 0.5000, 0.8781)
Br (0.3884, 0.5000, 0.5397)
Br (0.3962, 0.0000, 0.0301)
Br (0.9123, 0.0000, 0.3713)

Largest 6 diffraction maxima, by angle, 5° ≤ 2θ ≤ 70°:
d 3.527, intensity 100; d 3.353, intensity 50; d 3.107, intensity 32; d 2.039, intensity 42; d 2.032, intensity 25; d 1.880, intensity 31

=====

[8]
DyGaNi: calculated powder diffraction line list (copper Kα), based on a cell relaxed with GGA-PBE.

Structural model:
a = 6.6429 Å, b = 4.2458 Å, c = 7.1301 Å
α = 90.00°, β = 90.00°, γ = 90.00°
Space group Pnma (No. 62)
One atom of each set of equivalent atoms:
Dy (0.0193, 0.2500, 0.1993)
Ga (0.1818, 0.2500, 0.5802)
Ni (0.2044, 0.7500, 0.4076)

Largest 6 diffraction maxima, by angle, 5° ≤ 2θ ≤ 70°:
d 3.648, intensity 23; d 2.525, intensity 51; d 2.456, intensity 100; d 2.430, intensity 36; d 2.123, intensity 36; d 2.074, intensity 40

=====

[9]
Ho10Te7S10: calculated powder diffraction line list (copper Kα), based on a cell relaxed with GGA-PBE.

Structural model:
a = 7.6222 Å, b = 9.6551 Å, c = 11.3607 Å
α = 91.02°, β = 102.51°, γ = 111.41°
Space group P1 (No. 1)
One atom of each set of equivalent atoms:
Ho (0.0000, 0.0000, 0.0000)
Ho (0.0428, 0.4155, 0.8680)
Ho (0.1728, 0.2092, 0.5955)
Ho (0.2421, 0.6020, 0.4648)
Ho (0.3816, 0.3961, 0.1947)
Ho (0.4242, 0.8135, 0.0624)
Ho (0.5947, 0.6089, 0.8028)
Ho (0.6491, 0.0039, 0.6690)
Ho (0.7687, 0.8066, 0.3935)
Ho (0.8248, 0.2040, 0.2586)
Te (0.0668, 0.7588, 0.8250)
Te (0.2098, 0.9069, 0.5298)
Te (0.3538, 0.0523, 0.2342)
Te (0.4745, 0.1677, 0.0248)
Te (0.6026, 0.2974, 0.7434)
Te (0.8013, 0.4991, 0.3506)
Te (0.9502, 0.6469, 0.0340)
S (0.0095, 0.2709, 0.0719)
S (0.0220, 0.1395, 0.7898)
S (0.2060, 0.3269, 0.3856)
S (0.2133, 0.4849, 0.6760)
S (0.3966, 0.6715, 0.2715)
S (0.4140, 0.5417, 0.9911)
S (0.6182, 0.7285, 0.5881)
S (0.6220, 0.8820, 0.8776)
S (0.7970, 0.0825, 0.4739)
S (0.8013, 0.9303, 0.1861)

Largest 6 diffraction maxima, by angle, 5° ≤ 2θ ≤ 70°:
d 4.926, intensity 51; d 3.083, intensity 100; d 2.639, intensity 15; d 2.371, intensity 16; d 2.283, intensity 17; d 2.089, intensity 18